# Na4Al3FeSi8O24
Calculated powder XRD pattern, λ = 1.5418 Å (Cu Kα). Input: a DFT-relaxed cell (PBE+U, Alexandria).

Principal peaks in the range 10° ≤ 2θ ≤ 90°, by intensity:
2θ = 30.05°, rel. 100
2θ = 31.03°, rel. 63
2θ = 35.49°, rel. 58
2θ = 36.59°, rel. 34
2θ = 42.95°, rel. 20
2θ = 20.38°, rel. 20
2θ = 57.55°, rel. 19
2θ = 41.14°, rel. 17
2θ = 67.66°, rel. 17
2θ = 20.05°, rel. 16
2θ = 45.32°, rel. 15
2θ = 56.18°, rel. 15

Structure:
a = 5.312 Å, b = 8.716 Å, c = 9.461 Å
α = 90.00°, β = 104.56°, γ = 90.00°
Positions (direct):
Na1 0.000 0.000 0.000
Na2 0.000 0.099 0.500
Na3 0.500 0.497 0.500
Na4 0.500 0.596 0.000
Al1 0.000 0.394 0.000
Al2 0.500 0.202 0.000
Al3 0.500 0.896 0.500
Fe1 0.000 0.702 0.500
Si1 0.189 0.387 0.713
Si2 0.190 0.706 0.208
Si3 0.312 0.204 0.289
Si4 0.314 0.893 0.792
Si5 0.686 0.893 0.208
Si6 0.688 0.204 0.711
Si7 0.810 0.706 0.792
Si8 0.811 0.387 0.287
O1 0.091 0.796 0.849
O2 0.096 0.305 0.351
O3 0.178 0.538 0.137
O4 0.189 0.557 0.646
O5 0.232 0.223 0.109
O6 0.241 0.882 0.611
O7 0.268 0.371 0.893
O8 0.282 0.723 0.388
O9 0.316 0.037 0.362
O10 0.321 0.061 0.864
O11 0.404 0.289 0.649
O12 0.406 0.804 0.144
O13 0.594 0.804 0.856
O14 0.596 0.289 0.351
O15 0.679 0.061 0.136
O16 0.684 0.037 0.638
O17 0.718 0.723 0.612
O18 0.732 0.371 0.107
O19 0.759 0.882 0.389
O20 0.768 0.223 0.891
O21 0.811 0.557 0.354
O22 0.822 0.538 0.863
O23 0.904 0.305 0.649
O24 0.909 0.796 0.151